Diffraction record for CoH24C4S4N8Cl2O8. The X-ray diffraction stick pattern is theoretical, not measured: it uses the PBE+U geometry in the Materials Project and Cu Kα X-rays.
Kinematic intensities with the Lorentz-polarization factor, no thermal factor.

Cell and atoms:
```
51
Lattice="8.5953 0.0000 0.0000 3.8112 8.1392 0.0000 2.1038 1.7400 8.7291" Properties=species:S:1:pos:R:3 pbc="T T T"
Co 0.0000 0.0000 0.0000
H 3.0044 2.7661 3.8778
H 5.3844 7.9448 2.5251
H 3.9245 5.1154 0.1931
H 4.7468 4.9663 6.1283
H 2.2670 1.4661 0.3375
H 6.4671 8.3306 6.5435
H 3.7049 2.9702 2.2086
H 5.8773 6.0269 5.1758
H 6.6041 8.0459 0.3616
H 7.7272 8.0296 7.5657
H 4.7818 2.6087 3.5950
H 6.2204 4.2696 5.3644
H 8.2899 5.6096 3.3647
H 9.7285 7.2704 5.1341
H 6.7831 1.8495 1.1634
H 7.9062 1.8333 8.3675
H 8.6330 3.8523 3.5533
H 10.8054 6.9090 6.5205
H 8.0432 1.5486 2.1856
H 12.2433 8.4131 8.3916
H 9.7635 4.9128 2.6008
H 10.5858 4.7637 8.5360
H 9.1259 1.9343 6.2040
H 11.5059 7.1130 4.8513
C 3.7823 2.4539 3.1724
C 5.7862 5.1580 5.8387
C 8.7241 4.7212 2.8904
C 10.7280 7.4252 5.5567
S 3.6185 0.7149 2.8835
S 6.7414 5.4586 7.3041
S 7.7689 4.4206 1.4250
S 10.8918 9.1643 5.8456
N 2.1084 0.6006 2.1401
N 6.0760 6.8974 7.8920
N 2.0612 0.5376 0.7171
N 6.7029 8.1232 7.5187
N 7.8074 1.7560 1.2104
N 12.4491 9.3416 8.0120
N 8.4343 2.9818 0.8371
N 12.4019 9.2786 6.5890
Cl 3.5141 6.7129 1.9028
Cl 10.9962 3.1663 6.8263
O 7.2776 8.1613 4.1517
O 6.4155 4.4588 8.3014
O 6.3884 4.2084 1.8176
O 8.4680 8.4382 1.9596
O 6.0423 1.4410 6.7695
O 8.1219 5.6707 6.9115
O 8.0948 5.4204 0.4277
O 7.2327 1.7179 4.5774
```

The 8 most intense peaks (2θ = 10–90°), in order of falling intensity:
2θ 21.30, 4.172 Å, I 100, hkl 2 1 1; 2θ 21.12, 4.207 Å, I 98, hkl -1 1 1; 2θ 18.32, 4.844 Å, I 80, hkl 1 1 -1; 2θ 10.13, 8.729 Å, I 77, hkl 0 0 1; 2θ 11.08, 7.982 Å, I 47, hkl 0 1 0; 2θ 24.66, 3.610 Å, I 35, hkl 1 2 2; 2θ 12.50, 7.080 Å, I 34, hkl 1 1 0; 2θ 22.27, 3.991 Å, I 31, hkl 0 2 0

***

Diffraction record for CoSiC4Cl3O4. The X-ray diffraction stick pattern is theoretical, not measured: it uses the PBE+U geometry in the Materials Project and Cu Kα X-rays.
Kinematic intensities with the Lorentz-polarization factor, no thermal factor.

Cell and atoms:
```
52
Lattice="8.8894 0.0000 0.0000 0.0000 11.3423 0.0000 -1.9855 0.0000 11.9748" Properties=species:S:1:pos:R:3 pbc="T T T"
Co 1.4417 0.3746 3.3298
Co 0.4490 5.2965 9.3172
Co 6.4549 6.0458 2.6576
Co 5.4622 10.9677 8.6450
Si 2.3864 1.7300 1.7500
Si 1.3936 3.9412 7.7374
Si 5.5103 7.4012 4.2374
Si 4.5175 9.6123 10.2248
C -0.0423 1.2752 2.9706
C -1.0350 4.3960 8.9580
C -0.2940 6.2900 10.6006
C 0.6988 10.7235 4.6132
C 0.9064 6.6362 8.2350
C 1.8992 10.3773 2.2476
C 2.7009 1.0364 4.3898
C 1.7081 4.6348 10.3772
C 5.1958 6.7076 1.5976
C 4.2030 10.3059 7.5850
C 5.0047 0.9650 9.7272
C 5.9975 4.7061 3.7398
C 6.2051 0.6188 7.3616
C 7.1979 5.0523 1.3742
C 7.9389 6.9464 3.0167
C 6.9462 10.0671 9.0041
Cl -0.4700 1.5210 11.8607
Cl 0.5228 4.1502 5.8733
Cl 1.2304 1.9294 8.2051
Cl 2.2232 3.7417 2.2177
Cl 3.4977 7.0460 4.5027
Cl 2.5049 9.9675 10.4901
Cl 4.3990 1.3749 1.4847
Cl 3.4062 4.2963 7.4721
Cl 4.6807 7.6006 9.7570
Cl 5.6735 9.4129 3.7697
Cl 6.3811 7.1922 6.1015
Cl 7.3739 9.8213 0.1141
O 0.0393 7.5092 3.2236
O -0.9535 9.5043 9.2110
O -0.7829 6.9029 11.4455
O 0.2099 10.1106 5.4581
O 1.1882 7.5230 7.5508
O 2.1810 9.4905 1.5634
O 3.5144 1.4247 5.1142
O 2.5217 4.2464 11.1016
O 4.3822 7.0959 0.8732
O 3.3895 9.9176 6.8606
O 4.7229 1.8518 10.4114
O 5.7157 3.8193 4.4240
O 6.6940 1.2318 6.5167
O 7.6868 4.4394 0.5293
O 7.8574 1.8381 2.7638
O 6.8646 3.8331 8.7512
```

The 8 most intense peaks (2θ = 10–90°), in order of falling intensity:
2θ 15.57, 5.691 Å, I 100, hkl 1 1 1; 2θ 27.86, 3.202 Å, I 88, hkl 1 2 -3; 2θ 13.90, 6.371 Å, I 85, hkl 1 1 -1; 2θ 12.76, 6.938 Å, I 61, hkl 1 1 0; 2θ 27.68, 3.222 Å, I 44, hkl 2 2 1; 2θ 33.13, 2.704 Å, I 33, hkl 1 0 4; 2θ 46.41, 1.956 Å, I 32, hkl 4 0 2; 2θ 14.80, 5.987 Å, I 30, hkl 0 0 2